Calculated XRD peak list
Compound: SrMg6Al
Radiation: Cu Kα
Structure: the GGA-PBE geometry in the Materials Project
Peak positions follow from Bragg's law for the DFT cell and can differ from measured ones.

Atomic structure:
Lattice parameters (Å, degrees): 5.144 6.727 6.727 60.74 90.00 90.00
Fractional coordinates of all 8 atoms:
Sr 0.000 0.000 0.000
Mg 0.000 0.010 0.487
Mg 0.000 0.487 0.010
Mg 0.000 0.493 0.493
Mg 0.500 0.175 0.637
Mg 0.500 0.637 0.175
Mg 0.500 0.663 0.663
Al 0.500 0.174 0.174

Largest 12 diffraction maxima, low angle first, 10° ≤ 2θ ≤ 80°:
Position (°2θ), Rel. int.
15.1, 24
23.0, 26
23.1, 14
30.5, 30
34.9, 35
35.2, 100
35.5, 52
47.0, 19
54.6, 21
62.8, 18
66.2, 15
66.4, 19

---

Calculated XRD peak list
Compound: SrMg14Al
Radiation: Cu Kα
Structure: the GGA-PBE geometry in the Materials Project
Peak positions follow from Bragg's law for the DFT cell and can differ from measured ones.

Atomic structure:
Lattice parameters (Å, degrees): 10.525 6.507 6.507 59.85 90.00 90.00
Fractional coordinates of all 16 atoms:
Sr 0.000 0.000 0.000
Mg 0.000 0.012 0.493
Mg 0.000 0.493 0.012
Mg 0.240 0.663 0.663
Mg 0.259 0.173 0.656
Mg 0.259 0.656 0.173
Mg 0.264 0.170 0.170
Mg 0.500 0.501 0.501
Mg 0.500 0.503 0.994
Mg 0.500 0.994 0.503
Mg 0.500 0.998 0.998
Mg 0.736 0.170 0.170
Mg 0.741 0.173 0.656
Mg 0.741 0.656 0.173
Mg 0.760 0.663 0.663
Al 0.000 0.487 0.487

Largest 12 diffraction maxima, low angle first, 10° ≤ 2θ ≤ 80°:
Position (°2θ), Rel. int.
15.7, 7
17.9, 12
23.1, 8
31.8, 25
34.1, 26
36.2, 100
47.3, 16
56.6, 11
62.4, 18
67.7, 13
67.8, 6
69.1, 9